This entry pairs a crystal structure of Rb2PCCl6 with its calculated XRD peak list. Radiation: Cu Kα X-rays. Structure: a cell relaxed with PBE.

Unit cell a=7.377 b=7.377 c=9.094 alpha=90.00 beta=90.00 gamma=90.00
Space group I4/mmm (No. 139)
Symmetry-distinct sites (fractional):
Rb: 0.000 0.500 0.250
P: 0.000 0.000 0.000
C: 0.000 0.000 0.500
Cl: 0.000 0.000 0.264
Cl: 0.230 0.230 0.000

Principal peaks in the range 10 to 90 degrees two-theta, by angle:
- d 3.689, I 18
- d 3.428, I 29
- d 2.865, I 100
- d 2.608, I 58
- d 2.273, I 19
- d 2.076, I 13
- d 1.844, I 18
- d 1.714, I 28
- d 1.551, I 25
- d 1.432, I 14
- d 1.402, I 9
- d 1.116, I 8



This entry pairs a crystal structure of Rb2PdCCl6 with its calculated XRD peak list. Radiation: Cu Kα X-rays. Structure: a cell relaxed with PBE.

Unit cell a=7.126 b=7.126 c=9.094 alpha=90.00 beta=90.00 gamma=90.00
Space group I4/mmm (No. 139)
Symmetry-distinct sites (fractional):
Rb: 0.000 0.500 0.250
Pd: 0.000 0.000 0.000
C: 0.000 0.000 0.500
Cl: 0.000 0.000 0.268
Cl: 0.248 0.248 0.000

Principal peaks in the range 10 to 90 degrees two-theta, by angle:
- d 5.609, I 47
- d 3.563, I 48
- d 3.376, I 85
- d 3.007, I 19
- d 2.804, I 77
- d 2.519, I 100
- d 2.273, I 35
- d 2.019, I 41
- d 1.781, I 32
- d 1.688, I 52
- d 1.504, I 19
- d 1.402, I 27



This entry pairs a crystal structure of Pm3CCl3 with its calculated XRD peak list. Radiation: Cu Kα X-rays. Structure: a cell relaxed with PBE.

Unit cell a=11.047 b=11.047 c=11.047 alpha=90.00 beta=90.00 gamma=90.00
Space group I4_132 (No. 214)
Symmetry-distinct sites (fractional):
Pm: 0.108 0.358 0.125
C: 0.125 0.125 0.125
Cl: 0.119 0.131 0.625

Principal peaks in the range 10 to 90 degrees two-theta, by angle:
- d 7.811, I 64
- d 3.189, I 61
- d 2.952, I 48
- d 2.762, I 100
- d 2.355, I 27
- d 2.166, I 15
- d 1.953, I 64
- d 1.665, I 22
- d 1.594, I 20
- d 1.503, I 20
- d 1.403, I 16
- d 1.235, I 20



This entry pairs a crystal structure of Pm3TlCCl with its calculated XRD peak list. Radiation: Cu Kα X-rays. Structure: a cell relaxed with PBE.

Unit cell a=8.379 b=3.752 c=10.541 alpha=90.00 beta=100.15 gamma=90.00
Space group P2_1/m (No. 11)
Symmetry-distinct sites (fractional):
Pm: 0.084 0.250 0.389
Pm: 0.120 0.250 0.869
Pm: 0.351 0.750 0.652
Tl: 0.298 0.750 0.226
C: 0.144 0.250 0.637
Cl: 0.368 0.750 0.914

Principal peaks in the range 10 to 90 degrees two-theta, by angle:
- d 5.188, I 28
- d 3.413, I 33
- d 3.040, I 70
- d 2.982, I 56
- d 2.953, I 42
- d 2.776, I 100
- d 2.629, I 23
- d 2.609, I 24
- d 2.543, I 18
- d 1.999, I 31
- d 1.876, I 21
- d 1.588, I 19



This entry pairs a crystal structure of Pr8C8Cl5 with its calculated XRD peak list. Radiation: Cu Kα X-rays. Structure: a cell relaxed with PBE.

Unit cell a=7.712 b=17.049 c=6.871 alpha=90.00 beta=103.67 gamma=90.00
Space group P2_1/c (No. 14)
Symmetry-distinct sites (fractional):
Pr: 0.068 0.196 0.125
Pr: 0.147 0.071 0.623
Pr: 0.226 0.548 0.615
Pr: 0.304 0.672 0.102
C: 0.020 0.039 0.223
C: 0.054 0.660 0.765
C: 0.101 0.585 0.220
C: 0.163 0.715 0.716
Cl: 0.342 0.203 0.511
Cl: 0.411 0.097 0.016
Cl: 0.500 0.000 0.500

Principal peaks in the range 10 to 90 degrees two-theta, by angle:
- d 7.493, I 61
- d 3.593, I 92
- d 3.521, I 29
- d 3.359, I 69
- d 3.090, I 90
- d 3.075, I 81
- d 2.926, I 42
- d 2.812, I 100
- d 2.775, I 61
- d 2.494, I 26
- d 2.014, I 41
- d 1.973, I 40